# 1
Simulated powder diffraction line list of K2ZrF6 for Cu Kα X-rays, from a DFT-relaxed cell (GGA-PBE, the Materials Project).

Structural model:
```
data_K2ZrF6
_space_group_name_H-M_alt 'C 1 2/c 1'
_space_group_IT_number 15
_cell_length_a 6.6666
_cell_length_b 11.6775
_cell_length_c 7.0866
_cell_angle_alpha 90.00
_cell_angle_beta 90.03
_cell_angle_gamma 90.00
loop_
_space_group_symop_operation_xyz
'x,y,z'
'-x,-y,-z'
'-x,y,-z+1/2'
'x,-y,z+1/2'
'x+1/2,y+1/2,z'
'-x+1/2,-y+1/2,-z'
'-x+1/2,y+1/2,-z+1/2'
'x+1/2,-y+1/2,z+1/2'
loop_
_atom_site_label
_atom_site_fract_x
_atom_site_fract_y
_atom_site_fract_z
_atom_site_occupancy
K1 0.0188 0.1584 0.0031 1
Zr1 0.0000 0.4538 0.2500 1
F1 0.0370 0.4018 0.9556 1
F2 0.1904 0.3092 0.2765 1
F3 0.2101 0.0152 0.2864 1
```

Main lines, sorted by position (2θ = 10–80°):
- (0 2 0), 2θ 15.17, d = 5.839 Å, intensity 45
- (1 1 0), 2θ 15.30, d = 5.790 Å, intensity 100
- (0 2 1), 2θ 19.72, d = 4.502 Å, intensity 47
- (1 3 0), 2θ 26.52, d = 3.361 Å, intensity 59
- (2 0 0), 2θ 26.74, d = 3.333 Å, intensity 53
- (0 2 2), 2θ 29.46, d = 3.032 Å, intensity 72
- (1 1 2), 2θ 29.56, d = 3.022 Å, intensity 82
- (0 4 2), 2θ 40.02, d = 2.253 Å, intensity 38
- (2 4 1), 2θ 43.13, d = 2.098 Å, intensity 41
- (3 3 0), 2θ 47.06, d = 1.931 Å, intensity 51

---

# 2
Simulated powder diffraction line list of YSnRh for Cu Kα X-rays, from a DFT-relaxed cell (GGA-PBE, the Materials Project).

Structural model:
```
data_YSnRh
_space_group_name_H-M_alt 'P -6 2 m'
_space_group_IT_number 189
_space_group_name_Hall 'P -6 -2'
_cell_length_a 7.5414
_cell_length_b 7.5414
_cell_length_c 3.9152
_cell_angle_alpha 90.00
_cell_angle_beta 90.00
_cell_angle_gamma 120.00
loop_
_atom_site_label
_atom_site_fract_x
_atom_site_fract_y
_atom_site_fract_z
_atom_site_occupancy
Y1 0.0000 0.4068 0.0000 1
Sn1 0.0000 0.7405 0.5000 1
Rh1 0.0000 0.0000 0.0000 1
Rh2 0.3333 0.6667 0.5000 1
```

Main lines, sorted by position (2θ = 10–80°):
- (1 1 1), 2θ 32.98, d = 2.716 Å, intensity 100
- (2 0 1), 2θ 35.81, d = 2.508 Å, intensity 96
- (2 1 0), 2θ 36.40, d = 2.469 Å, intensity 53
- (3 0 0), 2θ 41.48, d = 2.177 Å, intensity 48
- (2 1 1), 2θ 43.33, d = 2.088 Å, intensity 46
- (0 0 2), 2θ 46.38, d = 1.958 Å, intensity 29
- (2 1 2), 2θ 60.35, d = 1.534 Å, intensity 25
- (3 0 2), 2θ 63.96, d = 1.456 Å, intensity 26
- (3 2 1), 2θ 66.86, d = 1.399 Å, intensity 39
- (1 1 3), 2θ 77.35, d = 1.234 Å, intensity 13

---

# 3
Simulated powder diffraction line list of Mn4VSe5 for Cu Kα X-rays, from a DFT-relaxed cell (GGA-PBE, the Materials Project).

Structural model:
```
data_Mn4VSe5
_space_group_name_H-M_alt 'R -3 m'
_space_group_IT_number 166
_space_group_name_Hall '-R 3 2"'
_cell_length_a 3.8199
_cell_length_b 3.8199
_cell_length_c 46.8276
_cell_angle_alpha 90.00
_cell_angle_beta 90.00
_cell_angle_gamma 120.00
loop_
_atom_site_label
_atom_site_fract_x
_atom_site_fract_y
_atom_site_fract_z
_atom_site_occupancy
Mn1 0.0000 0.0000 0.1000 1
Mn2 0.0000 0.0000 0.2999 1
V1 0.0000 0.0000 0.5000 1
Se1 0.0000 0.0000 0.0000 1
Se2 0.0000 0.0000 0.1985 1
Se3 0.0000 0.0000 0.4009 1
```

Main lines, sorted by position (2θ = 10–80°):
- (0 1 5), 2θ 28.61, d = 3.120 Å, intensity 6
- (1 0 10), 2θ 33.16, d = 2.702 Å, intensity 100
- (1 1 0), 2θ 47.60, d = 1.911 Å, intensity 69
- (2 0 5), 2θ 56.48, d = 1.629 Å, intensity 3
- (0 2 10), 2θ 59.23, d = 1.560 Å, intensity 23
- (2 0 20), 2θ 69.59, d = 1.351 Å, intensity 10
- (1 2 5), 2θ 76.90, d = 1.240 Å, intensity 2
- (2 1 10), 2θ 79.29, d = 1.208 Å, intensity 29

---

# 4
Simulated powder diffraction line list of NdRe4Si2 for Cu Kα X-rays, from a DFT-relaxed cell (GGA-PBE, the Materials Project).

Structural model:
```
data_NdRe4Si2
_space_group_name_H-M_alt 'P n n m'
_space_group_IT_number 58
_cell_length_a 7.3757
_cell_length_b 15.4826
_cell_length_c 4.1574
_cell_angle_alpha 90.00
_cell_angle_beta 90.00
_cell_angle_gamma 90.00
loop_
_space_group_symop_operation_xyz
'x,y,z'
'-x,-y,-z'
'-x,-y,z'
'x,y,-z'
'x+1/2,-y+1/2,-z+1/2'
'-x+1/2,y+1/2,z+1/2'
'-x+1/2,y+1/2,-z+1/2'
'x+1/2,-y+1/2,z+1/2'
loop_
_atom_site_label
_atom_site_fract_x
_atom_site_fract_y
_atom_site_fract_z
_atom_site_occupancy
Nd1 0.0766 0.1185 0.0000 1
Re1 0.0134 0.7061 0.5000 1
Re2 0.0693 0.5821 0.0000 1
Re3 0.1379 0.4480 0.5000 1
Re4 0.2305 0.3214 0.0000 1
Si1 0.1724 0.9761 0.5000 1
Si2 0.2117 0.7271 0.0000 1
```

Main lines, sorted by position (2θ = 10–80°):
- (1 1 0), 2θ 13.30, d = 6.659 Å, intensity 100
- (1 4 1), 2θ 33.90, d = 2.645 Å, intensity 54
- (2 2 1), 2θ 34.51, d = 2.599 Å, intensity 46
- (2 3 1), 2θ 36.94, d = 2.434 Å, intensity 68
- (1 5 1), 2θ 38.24, d = 2.354 Å, intensity 40
- (2 4 1), 2θ 40.14, d = 2.247 Å, intensity 50
- (1 7 0), 2θ 42.70, d = 2.118 Å, intensity 39
- (0 0 2), 2θ 43.54, d = 2.079 Å, intensity 57
- (2 5 1), 2θ 43.96, d = 2.060 Å, intensity 35
- (3 2 1), 2θ 44.38, d = 2.041 Å, intensity 36

---

# 5
Simulated powder diffraction line list of Tb2Br2O for Cu Kα X-rays, from a DFT-relaxed cell (GGA-PBE, the Materials Project).

Structural model:
```
data_Tb2Br2O
_space_group_name_H-M_alt 'P 4/m m m'
_space_group_IT_number 123
_space_group_name_Hall '-P 4 2'
_cell_length_a 4.1401
_cell_length_b 4.1401
_cell_length_c 13.3343
_cell_angle_alpha 90.00
_cell_angle_beta 90.00
_cell_angle_gamma 90.00
loop_
_atom_site_label
_atom_site_fract_x
_atom_site_fract_y
_atom_site_fract_z
_atom_site_occupancy
Tb1 0.0000 0.0000 0.1556 1
Br1 0.0000 0.0000 0.3531 1
O1 0.0000 0.0000 0.0000 1
```

Main lines, sorted by position (2θ = 10–80°):
- (1 0 0), 2θ 21.46, d = 4.140 Å, intensity 100
- (0 0 4), 2θ 26.74, d = 3.334 Å, intensity 14
- (1 1 0), 2θ 30.54, d = 2.928 Å, intensity 41
- (1 0 4), 2θ 34.54, d = 2.597 Å, intensity 29
- (1 1 4), 2θ 41.03, d = 2.200 Å, intensity 18
- (2 0 0), 2θ 43.73, d = 2.070 Å, intensity 15
- (1 0 6), 2θ 46.37, d = 1.958 Å, intensity 19
- (2 1 0), 2θ 49.21, d = 1.852 Å, intensity 21
- (1 1 6), 2θ 51.64, d = 1.770 Å, intensity 14
- (2 1 4), 2θ 56.89, d = 1.619 Å, intensity 14

---

# 6
Simulated powder diffraction line list of ReTe3Br5 for Cu Kα X-rays, from a DFT-relaxed cell (GGA-PBE, the Materials Project).

Structural model:
```
data_ReTe3Br5
_space_group_name_H-M_alt 'P 1 21 1'
_space_group_IT_number 4
_cell_length_a 11.6337
_cell_length_b 8.8939
_cell_length_c 12.7450
_cell_angle_alpha 90.00
_cell_angle_beta 106.01
_cell_angle_gamma 90.00
loop_
_space_group_symop_operation_xyz
'x,y,z'
'-x,y+1/2,-z'
loop_
_atom_site_label
_atom_site_fract_x
_atom_site_fract_y
_atom_site_fract_z
_atom_site_occupancy
Re1 0.1350 0.0000 0.2816 1
Re2 0.2773 0.7813 0.2125 1
Te1 0.0668 0.8757 0.0852 1
Te2 0.1124 0.1806 0.4501 1
Te3 0.1384 0.7038 0.3456 1
Te4 0.3083 0.0714 0.1905 1
Te5 0.3332 0.8859 0.4214 1
Te6 0.4287 0.7360 0.0816 1
Br1 0.0538 0.2752 0.2217 1
Br2 0.0799 0.4898 0.6814 1
Br3 0.0934 0.1687 0.8950 1
Br4 0.1666 0.0141 0.6260 1
Br5 0.2244 0.5428 0.0833 1
Br6 0.2948 0.3583 0.5071 1
Br7 0.3368 0.8754 0.8982 1
Br8 0.3874 0.4087 0.8569 1
Br9 0.4627 0.6028 0.2984 1
Br10 0.4946 0.6544 0.6488 1
```

Main lines, sorted by position (2θ = 10–80°):
- (1 0 1), 2θ 12.10, d = 7.315 Å, intensity 89
- (0 1 1), 2θ 12.30, d = 7.197 Å, intensity 100
- (1 1 0), 2θ 12.72, d = 6.961 Å, intensity 65
- (2 2 -2), 2θ 27.20, d = 3.279 Å, intensity 32
- (1 1 -4), 2θ 29.75, d = 3.003 Å, intensity 25
- (3 2 0), 2θ 31.32, d = 2.856 Å, intensity 24
- (2 2 2), 2θ 31.67, d = 2.825 Å, intensity 28
- (1 3 2), 2θ 35.52, d = 2.527 Å, intensity 32
- (2 1 -6), 2θ 44.03, d = 2.057 Å, intensity 24
- (4 3 -4), 2θ 48.52, d = 1.876 Å, intensity 27

---

# 7
Simulated powder diffraction line list of MgTlAsH12O10 for Cu Kα X-rays, from a DFT-relaxed cell (GGA-PBE, the Materials Project).

Structural model:
```
data_MgTlAsH12O10
_space_group_name_H-M_alt 'P m n 21'
_space_group_IT_number 31
_cell_length_a 7.0597
_cell_length_b 6.2579
_cell_length_c 11.4479
_cell_angle_alpha 90.00
_cell_angle_beta 90.00
_cell_angle_gamma 90.00
loop_
_space_group_symop_operation_xyz
'x,y,z'
'-x+1/2,-y,z+1/2'
'-x,y,z'
'x+1/2,-y,z+1/2'
loop_
_atom_site_label
_atom_site_fract_x
_atom_site_fract_y
_atom_site_fract_z
_atom_site_occupancy
Mg1 0.0000 0.1204 0.0000 1
Tl1 0.0000 0.1305 0.6572 1
As1 0.0000 0.5063 0.3717 1
H1 0.0000 0.6749 0.0337 1
H2 0.0000 0.7792 0.1627 1
H3 0.1143 0.4998 0.8814 1
H4 0.1777 0.6829 0.5729 1
H5 0.1798 0.8894 0.3544 1
H6 0.2044 0.2836 0.1907 1
H7 0.2445 0.8700 0.8676 1
O1 0.0000 0.4368 0.9220 1
O2 0.0000 0.5358 0.5210 1
O3 0.0000 0.7564 0.3067 1
O4 0.0000 0.8118 0.0764 1
O5 0.2013 0.3739 0.3264 1
O6 0.2061 0.0235 0.8791 1
O7 0.2234 0.2221 0.1102 1
```

Main lines, sorted by position (2θ = 10–80°):
- (1 0 1), 2θ 14.74, d = 6.009 Å, intensity 80
- (1 1 0), 2θ 18.95, d = 4.683 Å, intensity 41
- (1 1 1), 2θ 20.49, d = 4.334 Å, intensity 100
- (0 1 2), 2θ 21.03, d = 4.224 Å, intensity 74
- (1 1 2), 2θ 24.56, d = 3.624 Å, intensity 40
- (2 0 0), 2θ 25.23, d = 3.530 Å, intensity 41
- (1 0 3), 2θ 26.55, d = 3.357 Å, intensity 78
- (2 1 1), 2θ 30.10, d = 2.969 Å, intensity 61
- (0 0 4), 2θ 31.26, d = 2.861 Å, intensity 52
- (2 1 2), 2θ 33.07, d = 2.709 Å, intensity 62

---

# 8
Simulated powder diffraction line list of BaYCuSbO5 for Cu Kα X-rays, from a DFT-relaxed cell (GGA-PBE, the Materials Project).

Structural model:
```
data_BaYCuSbO5
_space_group_name_H-M_alt 'P 4 m m'
_space_group_IT_number 99
_cell_length_a 4.1160
_cell_length_b 4.1160
_cell_length_c 7.9498
_cell_angle_alpha 90.00
_cell_angle_beta 90.00
_cell_angle_gamma 90.00
loop_
_space_group_symop_operation_xyz
'x,y,z'
'-y,x,z'
'-x,-y,z'
'y,-x,z'
'-x,y,z'
'y,x,z'
'x,-y,z'
'-y,-x,z'
loop_
_atom_site_label
_atom_site_fract_x
_atom_site_fract_y
_atom_site_fract_z
_atom_site_occupancy
Ba1 0.0000 0.0000 0.0000 1
Y1 0.0000 0.0000 0.4245 1
Cu1 0.5000 0.5000 0.2638 1
Sb1 0.5000 0.5000 0.6708 1
O1 0.0000 0.5000 0.2632 1
O2 0.0000 0.5000 0.6259 1
O3 0.5000 0.5000 0.9202 1
```

Main lines, sorted by position (2θ = 10–80°):
- (1 0 1), 2θ 24.35, d = 3.655 Å, intensity 28
- (1 1 0), 2θ 30.72, d = 2.910 Å, intensity 58
- (1 0 2), 2θ 31.28, d = 2.859 Å, intensity 100
- (0 0 3), 2θ 33.83, d = 2.650 Å, intensity 15
- (2 0 0), 2θ 44.00, d = 2.058 Å, intensity 39
- (1 1 3), 2θ 46.34, d = 1.959 Å, intensity 16
- (2 1 2), 2θ 54.97, d = 1.670 Å, intensity 40
- (2 0 3), 2θ 56.63, d = 1.625 Å, intensity 12
- (1 0 5), 2θ 62.64, d = 1.483 Å, intensity 12
- (2 2 0), 2θ 63.98, d = 1.455 Å, intensity 12